1.
LiV3OF11: calculated X-ray diffraction stick pattern (Cu Kα, 1.54184 Å), based on DFT lattice parameters and positions (PBE+U).
Peak positions follow from Bragg's law for the DFT cell and can differ from measured ones.

Most intense lines, 15 to 90 degrees two-theta, most intense first:
- (1 -1 2), 25.10 deg, intensity 100
- (0 0 3), 17.65 deg, intensity 77
- (-1 1 1), 24.91 deg, intensity 33
- (0 0 6), 35.75 deg, intensity 14
- (1 -1 8), 51.58 deg, intensity 14
- (2 1 -2), 38.86 deg, intensity 13
- (2 -2 1), 47.72 deg, intensity 12
- (0 2 -1), 32.87 deg, intensity 11
- (2 2 -1), 48.05 deg, intensity 11
- (1 1 -8), 51.47 deg, intensity 9

Structure:
a = 5.2996 Å, b = 5.4503 Å, c = 15.3051 Å
α = 99.92°, β = 90.27°, γ = 90.38°
Atoms (fractional coordinates):
1 Li 0.0000 0.0000 0.0000
2 Li 0.4928 0.5717 0.0155
3 V 0.2954 0.8731 0.1771
4 V 0.3061 0.5310 0.5106
5 V 0.3132 0.1936 0.8360
6 V 0.7905 0.6603 0.8327
7 V 0.8032 0.3707 0.1859
8 V 0.8060 0.0308 0.5103
9 O 0.2349 0.8220 0.0660
10 O 0.5950 0.4014 0.8262
11 F 0.0074 0.3389 0.5337
12 F 0.0225 0.9908 0.8703
13 F 0.0997 0.4899 0.8635
14 F 0.1022 0.1870 0.2046
15 F 0.1053 0.8381 0.5333
16 F 0.2120 0.1529 0.7254
17 F 0.2213 0.4895 0.3971
18 F 0.3728 0.2449 0.9587
19 F 0.3916 0.5720 0.6241
20 F 0.4033 0.8994 0.2911
21 F 0.5072 0.2243 0.4878
22 F 0.5125 0.8947 0.8178
23 F 0.5173 0.5517 0.1481
24 F 0.6056 0.7229 0.4874
25 F 0.6145 0.0652 0.1563
26 F 0.7104 0.4068 0.2967
27 F 0.7245 0.0730 0.6239
28 F 0.7366 0.7553 0.9612
29 F 0.8873 0.3180 0.0658
30 F 0.8884 0.9917 0.3971
31 F 0.9098 0.6732 0.7250
32 F 0.9971 0.6727 0.2046

***

2.
YMn3Se2ClO8: calculated X-ray diffraction stick pattern (Cu Kα, 1.54184 Å), based on DFT lattice parameters and positions (PBE+U).
Peak positions follow from Bragg's law for the DFT cell and can differ from measured ones.

Most intense lines, 15 to 90 degrees two-theta, most intense first:
- (0 2 2), 30.22 deg, intensity 100
- (1 2 1), 25.68 deg, intensity 93
- (2 2 1), 35.12 deg, intensity 89
- (2 2 0), 32.88 deg, intensity 80
- (2 0 1), 29.85 deg, intensity 74
- (2 4 2), 52.73 deg, intensity 64
- (1 3 0), 30.51 deg, intensity 57
- (2 0 0), 27.27 deg, intensity 46
- (1 0 2), 27.68 deg, intensity 43
- (1 1 0), 16.28 deg, intensity 41

Structure:
a = 6.5404 Å, b = 9.8321 Å, c = 7.4056 Å
α = 90.00°, β = 90.00°, γ = 90.00°
Atoms (fractional coordinates):
1 Y 0.2500 0.2500 0.2339
2 Y 0.7500 0.7500 0.7661
3 Mn 0.0000 0.0000 0.5000
4 Mn 0.0000 0.5000 0.5000
5 Mn 0.2500 0.2500 0.7064
6 Mn 0.5000 0.0000 0.5000
7 Mn 0.5000 0.5000 0.5000
8 Mn 0.7500 0.7500 0.2936
9 Se 0.2500 0.5630 0.9139
10 Se 0.2500 0.9370 0.9139
11 Se 0.7500 0.0630 0.0861
12 Se 0.7500 0.4370 0.0861
13 Cl 0.2500 0.7500 0.3610
14 Cl 0.7500 0.2500 0.6390
15 O 0.0433 0.5911 0.7707
16 O 0.0433 0.9089 0.7707
17 O 0.2500 0.1141 0.9276
18 O 0.2500 0.1170 0.4873
19 O 0.2500 0.3830 0.4873
20 O 0.2500 0.3859 0.9276
21 O 0.4567 0.5911 0.7707
22 O 0.4567 0.9089 0.7707
23 O 0.5433 0.0911 0.2293
24 O 0.5433 0.4089 0.2293
25 O 0.7500 0.6141 0.0724
26 O 0.7500 0.6170 0.5127
27 O 0.7500 0.8830 0.5127
28 O 0.7500 0.8859 0.0724
29 O 0.9567 0.0911 0.2293
30 O 0.9567 0.4089 0.2293

***

3.
MgMnVP2O8F2: calculated X-ray diffraction stick pattern (Cu Kα, 1.54184 Å), based on DFT lattice parameters and positions (PBE+U).
Peak positions follow from Bragg's law for the DFT cell and can differ from measured ones.

Most intense lines, 15 to 90 degrees two-theta, most intense first:
- (1 1 -2), 29.08 deg, intensity 100
- (1 0 1), 25.59 deg, intensity 96
- (0 1 1), 26.38 deg, intensity 89
- (1 0 -1), 18.67 deg, intensity 71
- (1 -2 1), 36.32 deg, intensity 65
- (1 0 0), 17.89 deg, intensity 58
- (-1 1 1), 26.83 deg, intensity 30
- (2 1 -3), 46.32 deg, intensity 27
- (0 1 -2), 25.96 deg, intensity 23
- (1 -1 0), 22.41 deg, intensity 23

Structure:
a = 5.2560 Å, b = 5.3633 Å, c = 7.4417 Å
α = 109.80°, β = 104.65°, γ = 96.96°
Atoms (fractional coordinates):
1 Mg 0.0000 0.0000 0.0000
2 Mn 0.6036 0.9428 0.3511
3 V 0.0870 0.4347 0.8284
4 P 0.5312 0.5689 0.6015
5 P 0.6402 0.3196 0.0827
6 O 0.3285 0.2322 0.9820
7 O 0.3680 0.5859 0.7484
8 O 0.4541 0.7738 0.5038
9 O 0.4689 0.2790 0.4407
10 O 0.7310 0.6167 0.2287
11 O 0.7416 0.1101 0.1749
12 O 0.7974 0.2751 0.9253
13 O 0.8364 0.6660 0.7359
14 F 0.2058 0.7657 0.0908
15 F 0.9664 0.1163 0.5871

***

4.
Li5Nb2Fe3O10: calculated X-ray diffraction stick pattern (Cu Kα, 1.54184 Å), based on DFT lattice parameters and positions (PBE+U).
Peak positions follow from Bragg's law for the DFT cell and can differ from measured ones.

Most intense lines, 15 to 90 degrees two-theta, most intense first:
- (1 0 0), 17.73 deg, intensity 100
- (1 -2 2), 41.50 deg, intensity 56
- (-1 1 4), 41.55 deg, intensity 52
- (2 3 2), 42.32 deg, intensity 51
- (0 0 2), 17.62 deg, intensity 48
- (3 1 4), 60.32 deg, intensity 30
- (1 1 2), 22.07 deg, intensity 30
- (1 2 -2), 36.14 deg, intensity 28
- (0 2 -2), 34.31 deg, intensity 23
- (1 2 0), 25.98 deg, intensity 21

Structure:
a = 5.2786 Å, b = 8.0028 Å, c = 10.6617 Å
α = 71.19°, β = 80.52°, γ = 71.85°
Atoms (fractional coordinates):
1 Li 0.0000 0.0000 0.0000
2 Li 0.0005 0.9998 0.4984
3 Li 0.4846 0.1021 0.3612
4 Li 0.4872 0.0982 0.8629
5 Li 0.9710 0.2010 0.2261
6 Li 0.9710 0.2020 0.7266
7 Li 0.9806 0.8026 0.8136
8 Li 0.9807 0.8041 0.3115
9 Li 0.9935 0.3960 0.9142
10 Li 0.9933 0.3981 0.4127
11 Nb 0.4655 0.9147 0.6625
12 Nb 0.4730 0.9140 0.1639
13 Nb 0.5010 0.2909 0.0581
14 Nb 0.5048 0.2907 0.5602
15 Fe 0.4825 0.4972 0.7672
16 Fe 0.4845 0.4954 0.2660
17 Fe 0.4865 0.7051 0.4585
18 Fe 0.4889 0.7010 0.9631
19 Fe 0.9837 0.6009 0.1117
20 Fe 0.9852 0.6004 0.6138
21 O 0.2420 0.7604 0.6375
22 O 0.2435 0.5340 0.9451
23 O 0.2444 0.9526 0.3238
24 O 0.2470 0.1481 0.5348
25 O 0.2475 0.3559 0.7222
26 O 0.2478 0.1462 0.0349
27 O 0.2483 0.3561 0.2223
28 O 0.2500 0.7586 0.1341
29 O 0.2512 0.5404 0.4449
30 O 0.2515 0.9491 0.8247
31 O 0.7119 0.6633 0.7847
32 O 0.7188 0.6611 0.2806
33 O 0.7222 0.0566 0.1914
34 O 0.7226 0.0554 0.6895
35 O 0.7244 0.8444 0.5045
36 O 0.7273 0.2487 0.4012
37 O 0.7293 0.2484 0.9006
38 O 0.7285 0.4413 0.0869
39 O 0.7286 0.4423 0.5879
40 O 0.7305 0.8507 0.0054